# 1
The following is a calculated powder X-ray diffraction pattern of Pa3TiRh12. It was derived from a crystal structure in Alexandria, relaxed with GGA-PBE, using Cu Kα (weighted mean of Kα1 and Kα2).
Neutral-atom scattering factors, no anomalous dispersion.

```
data_Pa3TiRh12
_chemical_formula_sum 'Pa3 Ti1 Rh12'
_space_group_name_H-M_alt 'P 4/m m m'
_space_group_IT_number 123
_space_group_name_Hall '-P 4 2'
_cell_length_a 4.016
_cell_length_b 4.016
_cell_length_c 15.980
_cell_angle_alpha 90.00
_cell_angle_beta 90.00
_cell_angle_gamma 90.00
loop_
_atom_site_label
_atom_site_type_symbol
_atom_site_fract_x
_atom_site_fract_y
_atom_site_fract_z
_atom_site_occupancy
Pa1 Pa 0.000 0.000 0.000 1
Pa2 Pa 0.000 0.000 0.257 1
Ti1 Ti 0.000 0.000 0.500 1
Rh1 Rh 0.000 0.500 0.128 1
Rh2 Rh 0.000 0.500 0.385 1
Rh3 Rh 0.500 0.500 0.000 1
Rh4 Rh 0.500 0.500 0.256 1
Rh5 Rh 0.500 0.500 0.500 1
```

Top 8 peaks for 2θ from 10° to 80°, sorted by position:
2θ 31.56, rel. 59, hkl 1 1 0
2θ 38.91, rel. 1000, hkl 1 1 4
2θ 45.16, rel. 335, hkl 2 0 0
2θ 45.40, rel. 150, hkl 0 0 8
2θ 65.77, rel. 108, hkl 2 2 0
2θ 65.97, rel. 196, hkl 2 0 8
2θ 79.14, rel. 249, hkl 3 1 4
2θ 79.50, rel. 113, hkl 1 1 12

---

# 2
The following is a calculated powder X-ray diffraction pattern of Tm2PaRh3. It was derived from a crystal structure in Alexandria, relaxed with GGA-PBE, using Cu Kα (weighted mean of Kα1 and Kα2).
Neutral-atom scattering factors, no anomalous dispersion.

```
data_Tm2PaRh3
_chemical_formula_sum 'Tm2 Pa1 Rh3'
_space_group_name_H-M_alt 'P -3 m 1'
_space_group_IT_number 164
_space_group_name_Hall '-P 3 2"'
_cell_length_a 4.8248
_cell_length_b 4.8248
_cell_length_c 5.9544
_cell_angle_alpha 90.00
_cell_angle_beta 90.00
_cell_angle_gamma 120.00
loop_
_atom_site_label
_atom_site_type_symbol
_atom_site_fract_x
_atom_site_fract_y
_atom_site_fract_z
_atom_site_occupancy
Tm1 Tm 0.3333 0.6667 0.1536 1
Pa1 Pa 0.0000 0.0000 0.5000 1
Rh1 Rh 0.0000 0.0000 0.0000 1
Rh2 Rh 0.3333 0.6667 0.6346 1
```

Top 8 peaks for 2θ from 10° to 80°, sorted by position:
2θ 26.05, rel. 198, hkl 1 0 1
2θ 37.08, rel. 969, hkl 0 1 2
2θ 37.27, rel. 1000, hkl 1 1 0
2θ 53.59, rel. 337, hkl 2 0 2
2θ 66.70, rel. 175, hkl 1 0 4
2θ 67.09, rel. 342, hkl 1 2 2
2θ 67.22, rel. 178, hkl 3 0 0
2θ 79.45, rel. 112, hkl 2 2 0

---

# 3
The following is a calculated powder X-ray diffraction pattern of Y2PaRh3. It was derived from a crystal structure in Alexandria, relaxed with GGA-PBE, using Cu Kα (weighted mean of Kα1 and Kα2).
Neutral-atom scattering factors, no anomalous dispersion.

```
data_Y2PaRh3
_chemical_formula_sum 'Y4 Pa2 Rh6'
_space_group_name_H-M_alt 'I m m m'
_space_group_IT_number 71
_space_group_name_Hall '-I 2 2'
_cell_length_a 3.630
_cell_length_b 4.498
_cell_length_c 15.654
_cell_angle_alpha 90.00
_cell_angle_beta 90.00
_cell_angle_gamma 90.00
loop_
_atom_site_label
_atom_site_type_symbol
_atom_site_fract_x
_atom_site_fract_y
_atom_site_fract_z
_atom_site_occupancy
Y1 Y 0.000 0.000 0.177 1
Pa1 Pa 0.000 0.500 0.000 1
Rh1 Rh 0.000 0.000 0.369 1
Rh2 Rh 0.000 0.500 0.500 1
```

Top 8 peaks for 2θ from 10° to 80°, sorted by position:
2θ 11.31, rel. 580, hkl 0 0 2
2θ 20.55, rel. 247, hkl 0 1 1
2θ 33.74, rel. 920, hkl 1 1 2
2θ 34.37, rel. 309, hkl 0 0 6
2θ 37.95, rel. 228, hkl 1 0 5
2θ 39.34, rel. 1000, hkl 1 1 4
2θ 40.10, rel. 359, hkl 0 2 0
2θ 50.28, rel. 186, hkl 2 0 0

---

# 4
The following is a calculated powder X-ray diffraction pattern of PaZn5Rh6. It was derived from a crystal structure in Alexandria, relaxed with GGA-PBE, using Cu Kα (weighted mean of Kα1 and Kα2).
Neutral-atom scattering factors, no anomalous dispersion.

```
data_PaZn5Rh6
_chemical_formula_sum 'Pa1 Zn5 Rh6'
_space_group_name_H-M_alt 'P 1 2/m 1'
_space_group_IT_number 10
_space_group_name_Hall '-P 2y'
_cell_length_a 4.401
_cell_length_b 6.260
_cell_length_c 6.862
_cell_angle_alpha 90.00
_cell_angle_beta 108.60
_cell_angle_gamma 90.00
loop_
_atom_site_label
_atom_site_type_symbol
_atom_site_fract_x
_atom_site_fract_y
_atom_site_fract_z
_atom_site_occupancy
Pa1 Pa 0.000 0.000 0.000 1
Zn1 Zn 0.000 0.500 0.000 1
Zn2 Zn 0.328 0.000 0.656 1
Zn3 Zn 0.333 0.500 0.665 1
Rh1 Rh 0.167 0.254 0.335 1
Rh2 Rh 0.500 0.263 0.000 1
```

Top 8 peaks for 2θ from 10° to 80°, sorted by position:
2θ 41.05, rel. 1000, hkl 2 0 -1
2θ 41.66, rel. 192, hkl 0 0 3
2θ 59.03, rel. 66, hkl 0 4 0
2θ 59.84, rel. 64, hkl 2 0 2
2θ 74.38, rel. 65, hkl 2 4 -1
2θ 74.75, rel. 131, hkl 3 2 0
2θ 74.83, rel. 64, hkl 0 4 3
2θ 75.63, rel. 125, hkl 1 2 4

---

# 5
The following is a calculated powder X-ray diffraction pattern of Zr2PaRh3. It was derived from a crystal structure in Alexandria, relaxed with GGA-PBE, using Cu Kα (weighted mean of Kα1 and Kα2).
Neutral-atom scattering factors, no anomalous dispersion.

```
data_Zr2PaRh3
_chemical_formula_sum 'Zr4 Pa2 Rh6'
_space_group_name_H-M_alt 'P m m n'
_space_group_IT_number 59
_cell_length_a 4.711
_cell_length_b 13.977
_cell_length_c 3.434
_cell_angle_alpha 90.00
_cell_angle_beta 90.00
_cell_angle_gamma 90.00
loop_
_space_group_symop_operation_xyz
'x,y,z'
'-x,-y,-z'
'-x+1/2,-y+1/2,z'
'x+1/2,y+1/2,-z'
'x+1/2,-y,-z'
'-x+1/2,y,z'
'-x,y+1/2,-z'
'x,-y+1/2,z'
loop_
_atom_site_label
_atom_site_type_symbol
_atom_site_fract_x
_atom_site_fract_y
_atom_site_fract_z
_atom_site_occupancy
Zr1 Zr 0.250 0.075 0.002 1
Pa1 Pa 0.250 0.750 0.997 1
Rh1 Rh 0.250 0.250 0.504 1
Rh2 Rh 0.250 0.591 0.498 1
```

Top 8 peaks for 2θ from 10° to 80°, sorted by position:
2θ 12.67, rel. 108, hkl 0 2 0
2θ 19.89, rel. 101, hkl 1 1 0
2θ 37.73, rel. 1000, hkl 1 3 1
2θ 38.21, rel. 244, hkl 2 0 0
2θ 38.65, rel. 226, hkl 0 6 0
2θ 55.48, rel. 157, hkl 2 6 0
2θ 68.75, rel. 169, hkl 3 3 1
2θ 69.34, rel. 150, hkl 1 9 1

---

# 6
The following is a calculated powder X-ray diffraction pattern of Pa13Ru2. It was derived from a crystal structure in Alexandria, relaxed with GGA-PBE, using Cu Kα (weighted mean of Kα1 and Kα2).
Neutral-atom scattering factors, no anomalous dispersion.

```
data_Pa13Ru2
_chemical_formula_sum 'Pa13 Ru2'
_space_group_name_H-M_alt 'P -1'
_space_group_IT_number 2
_space_group_name_Hall '-P 1'
_cell_length_a 5.493
_cell_length_b 8.242
_cell_length_c 8.975
_cell_angle_alpha 68.30
_cell_angle_beta 82.22
_cell_angle_gamma 71.99
loop_
_atom_site_label
_atom_site_type_symbol
_atom_site_fract_x
_atom_site_fract_y
_atom_site_fract_z
_atom_site_occupancy
Pa1 Pa 0.000 0.000 0.000 1
Pa2 Pa 0.164 0.737 0.778 1
Pa3 Pa 0.226 0.559 0.145 1
Pa4 Pa 0.246 0.509 0.585 1
Pa5 Pa 0.255 0.862 0.341 1
Pa6 Pa 0.327 0.192 0.402 1
Pa7 Pa 0.390 0.220 0.004 1
Ru1 Ru 0.233 0.137 0.720 1
```

Top 8 peaks for 2θ from 10° to 80°, sorted by position:
2θ 33.00, rel. 547, hkl 2 1 0
2θ 33.48, rel. 766, hkl 1 2 3
2θ 34.36, rel. 1000, hkl 0 3 1
2θ 34.50, rel. 629, hkl 1 -1 2
2θ 35.27, rel. 407, hkl -1 2 2
2θ 35.81, rel. 409, hkl 2 0 1
2θ 38.90, rel. 364, hkl 1 2 -2
2θ 40.69, rel. 390, hkl 2 3 1

---

# 7
The following is a calculated powder X-ray diffraction pattern of PaRuS2. It was derived from a crystal structure in Alexandria, relaxed with GGA-PBE, using Cu Kα (weighted mean of Kα1 and Kα2).
Neutral-atom scattering factors, no anomalous dispersion.

```
data_PaRuS2
_chemical_formula_sum 'Pa1 Ru1 S2'
_space_group_name_H-M_alt 'P 1'
_space_group_IT_number 1
_space_group_name_Hall 'P 1'
_cell_length_a 3.802
_cell_length_b 4.774
_cell_length_c 4.897
_cell_angle_alpha 62.72
_cell_angle_beta 72.42
_cell_angle_gamma 69.51
loop_
_atom_site_label
_atom_site_type_symbol
_atom_site_fract_x
_atom_site_fract_y
_atom_site_fract_z
_atom_site_occupancy
Pa1 Pa 0.000 0.000 0.000 1
Ru1 Ru 0.645 0.423 0.491 1
S1 S 0.305 0.299 0.256 1
S2 S 0.994 0.664 0.651 1
```

Top 8 peaks for 2θ from 10° to 80°, sorted by position:
2θ 23.33, rel. 849, hkl 0 1 1
2θ 25.38, rel. 347, hkl 1 0 0
2θ 29.04, rel. 513, hkl 1 1 0
2θ 30.03, rel. 373, hkl 1 0 1
2θ 35.73, rel. 1000, hkl 0 1 -1
2θ 37.64, rel. 293, hkl 1 -1 0
2θ 39.10, rel. 453, hkl 1 1 2
2θ 39.38, rel. 434, hkl 1 2 1

---

# 8
The following is a calculated powder X-ray diffraction pattern of PaSb2Ru2. It was derived from a crystal structure in Alexandria, relaxed with GGA-PBE, using Cu Kα (weighted mean of Kα1 and Kα2).
Neutral-atom scattering factors, no anomalous dispersion.

```
data_PaSb2Ru2
_chemical_formula_sum 'Pa2 Sb4 Ru4'
_space_group_name_H-M_alt 'P 1 21/m 1'
_space_group_IT_number 11
_space_group_name_Hall '-P 2yb'
_cell_length_a 4.671
_cell_length_b 4.627
_cell_length_c 10.207
_cell_angle_alpha 90.00
_cell_angle_beta 95.94
_cell_angle_gamma 90.00
loop_
_atom_site_label
_atom_site_type_symbol
_atom_site_fract_x
_atom_site_fract_y
_atom_site_fract_z
_atom_site_occupancy
Pa1 Pa 0.165 0.250 0.159 1
Sb1 Sb 0.248 0.250 0.488 1
Sb2 Sb 0.318 0.250 0.798 1
Ru1 Ru 0.216 0.750 0.347 1
Ru2 Ru 0.363 0.750 0.943 1
```

Top 8 peaks for 2θ from 10° to 80°, sorted by position:
2θ 26.06, rel. 649, hkl 0 1 2
2θ 27.20, rel. 435, hkl 1 1 0
2θ 36.75, rel. 680, hkl 1 1 -3
2θ 38.81, rel. 478, hkl 2 0 0
2θ 38.93, rel. 641, hkl 0 2 0
2θ 39.65, rel. 1000, hkl 1 1 3
2θ 56.14, rel. 324, hkl 2 2 0
2θ 70.95, rel. 354, hkl 1 3 3

---

# 9
The following is a calculated powder X-ray diffraction pattern of Pa3RuSe2. It was derived from a crystal structure in Alexandria, relaxed with GGA-PBE, using Cu Kα (weighted mean of Kα1 and Kα2).
Neutral-atom scattering factors, no anomalous dispersion.

```
data_Pa3RuSe2
_chemical_formula_sum 'Pa6 Ru2 Se4'
_space_group_name_H-M_alt 'I 4/m m m'
_space_group_IT_number 139
_space_group_name_Hall '-I 4 2'
_cell_length_a 4.042
_cell_length_b 4.042
_cell_length_c 17.161
_cell_angle_alpha 90.00
_cell_angle_beta 90.00
_cell_angle_gamma 90.00
loop_
_atom_site_label
_atom_site_type_symbol
_atom_site_fract_x
_atom_site_fract_y
_atom_site_fract_z
_atom_site_occupancy
Pa1 Pa 0.000 0.000 0.000 1
Pa2 Pa 0.000 0.000 0.343 1
Ru1 Ru 0.000 0.000 0.500 1
Se1 Se 0.000 0.000 0.173 1
```

Top 8 peaks for 2θ from 10° to 80°, sorted by position:
2θ 27.01, rel. 363, hkl 1 0 3
2θ 31.29, rel. 1000, hkl 1 1 0
2θ 44.84, rel. 734, hkl 2 0 0
2θ 53.13, rel. 173, hkl 2 1 3
2θ 55.69, rel. 254, hkl 2 0 6
2θ 65.28, rel. 117, hkl 2 2 0
2θ 71.99, rel. 67, hkl 3 0 3
2θ 74.17, rel. 316, hkl 3 1 0

---

# 10
The following is a calculated powder X-ray diffraction pattern of Pa4TeRuSe2. It was derived from a crystal structure in Alexandria, relaxed with GGA-PBE, using Cu Kα (weighted mean of Kα1 and Kα2).
Neutral-atom scattering factors, no anomalous dispersion.

```
data_Pa4TeRuSe2
_chemical_formula_sum 'Pa4 Te1 Ru1 Se2'
_space_group_name_H-M_alt 'P 1 2/m 1'
_space_group_IT_number 10
_space_group_name_Hall '-P 2y'
_cell_length_a 7.183
_cell_length_b 3.961
_cell_length_c 7.406
_cell_angle_alpha 90.00
_cell_angle_beta 107.68
_cell_angle_gamma 90.00
loop_
_atom_site_label
_atom_site_type_symbol
_atom_site_fract_x
_atom_site_fract_y
_atom_site_fract_z
_atom_site_occupancy
Pa1 Pa 0.234 0.000 0.216 1
Pa2 Pa 0.258 0.500 0.777 1
Te1 Te 0.000 0.000 0.500 1
Ru1 Ru 0.000 0.500 0.000 1
Se1 Se 0.500 0.000 0.000 1
Se2 Se 0.500 0.500 0.500 1
```

Top 8 peaks for 2θ from 10° to 80°, sorted by position:
2θ 27.13, rel. 219, hkl 1 1 -1
2θ 30.37, rel. 521, hkl 2 0 -2
2θ 30.68, rel. 1000, hkl 1 1 1
2θ 42.00, rel. 183, hkl 2 0 2
2θ 43.21, rel. 349, hkl 1 1 -3
2θ 44.21, rel. 391, hkl 3 1 -1
2θ 45.81, rel. 178, hkl 0 2 0
2θ 55.96, rel. 190, hkl 2 2 -2

---

# 11
The following is a calculated powder X-ray diffraction pattern of Pa3Si2Ru2. It was derived from a crystal structure in Alexandria, relaxed with GGA-PBE, using Cu Kα (weighted mean of Kα1 and Kα2).
Neutral-atom scattering factors, no anomalous dispersion.

```
data_Pa3Si2Ru2
_chemical_formula_sum 'Pa12 Si8 Ru8'
_space_group_name_H-M_alt 'P b c m'
_space_group_IT_number 57
_space_group_name_Hall '-P 2c 2b'
_cell_length_a 5.498
_cell_length_b 7.690
_cell_length_c 12.934
_cell_angle_alpha 90.00
_cell_angle_beta 90.00
_cell_angle_gamma 90.00
loop_
_atom_site_label
_atom_site_type_symbol
_atom_site_fract_x
_atom_site_fract_y
_atom_site_fract_z
_atom_site_occupancy
Pa1 Pa 0.134 0.242 0.250 1
Pa2 Pa 0.343 0.604 0.102 1
Si1 Si 0.180 0.250 0.000 1
Si2 Si 0.377 0.607 0.750 1
Ru1 Ru 0.126 0.543 0.593 1
```

Top 8 peaks for 2θ from 10° to 80°, sorted by position:
2θ 24.18, rel. 802, hkl 1 1 2
2θ 34.22, rel. 874, hkl 1 1 4
2θ 34.65, rel. 558, hkl 2 1 0
2θ 35.32, rel. 1000, hkl 1 2 3
2θ 36.30, rel. 516, hkl 0 2 4
2θ 38.76, rel. 857, hkl 1 3 0
2θ 40.65, rel. 901, hkl 2 1 3
2θ 41.91, rel. 448, hkl 0 0 6

---

# 12
The following is a calculated powder X-ray diffraction pattern of Pa4Si6Ru7. It was derived from a crystal structure in Alexandria, relaxed with GGA-PBE, using Cu Kα (weighted mean of Kα1 and Kα2).
Neutral-atom scattering factors, no anomalous dispersion.

```
data_Pa4Si6Ru7
_chemical_formula_sum 'Pa8 Si12 Ru14'
_space_group_name_H-M_alt 'I m -3 m'
_space_group_IT_number 229
_space_group_name_Hall '-I 4 2 3'
_cell_length_a 8.272
_cell_length_b 8.272
_cell_length_c 8.272
_cell_angle_alpha 90.00
_cell_angle_beta 90.00
_cell_angle_gamma 90.00
loop_
_atom_site_label
_atom_site_type_symbol
_atom_site_fract_x
_atom_site_fract_y
_atom_site_fract_z
_atom_site_occupancy
Pa1 Pa 0.250 0.250 0.250 1
Si1 Si 0.000 0.000 0.319 1
Ru1 Ru 0.000 0.000 0.000 1
Ru2 Ru 0.000 0.250 0.500 1
```

Top 8 peaks for 2θ from 10° to 80°, sorted by position:
2θ 21.48, rel. 329, hkl 2 0 0
2θ 30.57, rel. 677, hkl 2 2 0
2θ 37.67, rel. 1000, hkl 2 2 2
2θ 43.78, rel. 629, hkl 4 0 0
2θ 49.26, rel. 212, hkl 4 2 0
2θ 54.33, rel. 240, hkl 4 2 2
2θ 63.63, rel. 385, hkl 4 4 0
2θ 76.37, rel. 346, hkl 6 2 2